Entry 1:
This entry pairs a crystal structure of PaCu2Br6 with its theoretical X-ray powder pattern. Radiation: Cu Ka. Structure: DFT lattice parameters and positions (PBE).
Neutral-atom scattering factors, no anomalous dispersion.

Structure:
Cell lengths 15.442, 11.212, 7.072 Å; angles 90.00, 105.92, 90.00 degrees
Space group C2/c (No. 15)
One atom of each set of equivalent atoms:
Pa1 0.000 0.133 0.250 [4 per cell]
Cu1 0.054 0.404 0.145 [8 per cell]
Br1 0.100 0.078 0.643 [8 per cell]
Br2 0.107 0.408 0.529 [8 per cell]
Br3 0.143 0.231 0.128 [8 per cell]

Principal peaks in the range 2θ from 10° to 80°, by angle:
2θ 11.9, rel. 100; 2θ 15.0, rel. 38; 2θ 17.6, rel. 38; 2θ 30.7, rel. 47; 2θ 38.7, rel. 32; 2θ 43.8, rel. 35

---

Entry 2:
This entry pairs a crystal structure of CuPb5Br12 with its theoretical X-ray powder pattern. Radiation: Cu Ka. Structure: DFT lattice parameters and positions (PBE).
Neutral-atom scattering factors, no anomalous dispersion.

Structure:
Cell lengths 7.745, 13.145, 14.422 Å; angles 90.00, 93.47, 90.00 degrees
Space group C2/m (No. 12)
One atom of each set of equivalent atoms:
Cu1 0.000 0.000 0.000 [2 per cell]
Pb1 0.000 0.166 0.500 [4 per cell]
Pb2 0.000 0.344 0.000 [4 per cell]
Pb3 0.000 0.500 0.500 [2 per cell]
Br1 0.152 0.133 0.095 [8 per cell]
Br2 0.152 0.500 0.126 [4 per cell]
Br3 0.156 0.000 0.382 [4 per cell]
Br4 0.156 0.333 0.382 [8 per cell]

Principal peaks in the range 2θ from 10° to 80°, by angle:
2θ 12.3, rel. 100; 2θ 29.5, rel. 32; 2θ 30.4, rel. 28; 2θ 39.8, rel. 22; 2θ 40.8, rel. 22; 2θ 41.5, rel. 21